(1)
Structure and theoretical powder XRD pattern of Mg2Ga5Ru3 (a cell relaxed with GGA-PBE; Cu Kα X-rays).

Cell: 9.3229 12.2476 5.6337 Å, 90.00 99.49 90.00°
Space group C2/c (No. 15)
Inequivalent atoms, fractional coordinates:
Mg 0.1215 0.2288 0.1103
Ga 0.0000 0.0176 0.2500
Ga 0.1147 0.3468 0.5991
Ga 0.2270 0.4629 0.0327
Ru 0.0000 0.4751 0.2500
Ru 0.1520 0.1452 0.6138

Largest 10 diffraction maxima, by angle, 2θ = 10–90°:
2θ (°)	d_spacing	I_rel	h k l
14.5	6.124	39	0 2 0
21.3	4.176	44	1 1 1
31.8	2.816	36	3 1 -1
37.9	2.372	59	2 2 -2
38.1	2.361	30	3 3 -1
40.6	2.221	70	2 0 2
42.0	2.152	44	4 2 0
42.1	2.145	100	1 5 1
46.1	1.970	42	2 4 -2
49.6	1.838	28	4 4 0

***

(2)
Structure and theoretical powder XRD pattern of Tm4MgGaRu2 (a cell relaxed with GGA-PBE; Cu Kα X-rays).

Cell: 4.8973 4.8973 24.1714 Å, 90.00 90.00 120.00°
Space group R-3m (No. 166, hexagonal axes)
Inequivalent atoms, fractional coordinates:
Tm 0.0000 0.0000 0.1231
Tm 0.0000 0.0000 0.3737
Mg 0.0000 0.0000 0.5000
Ga 0.0000 0.0000 0.0000
Ru 0.0000 0.0000 0.2479

Largest 10 diffraction maxima, by angle, 2θ = 10–90°:
2θ (°)	d_spacing	I_rel	h k l
25.7	3.471	34	1 0 4
36.5	2.461	100	0 1 8
36.7	2.449	99	1 1 0
52.7	1.736	35	2 0 8
65.6	1.423	18	1 0 16
66.0	1.416	35	1 2 8
66.1	1.414	18	3 0 0
78.1	1.224	11	2 2 0
89.0	1.099	16	2 1 16
89.4	1.096	16	3 1 8

***

(3)
Structure and theoretical powder XRD pattern of MgGaS3 (a cell relaxed with GGA-PBE; Cu Kα X-rays).

Cell: 5.9069 5.9069 6.2489 Å, 90.00 90.00 120.00°
Space group P-6c2 (No. 188)
Inequivalent atoms, fractional coordinates:
Mg 0.0000 0.0000 0.0000
Ga 0.3333 0.6667 0.0000
S 0.3547 0.0042 0.2500

Largest 10 diffraction maxima, by angle, 2θ = 10–90°:
2θ (°)	d_spacing	I_rel	h k l
17.3	5.115	93	1 0 0
33.6	2.669	100	1 1 1
35.1	2.558	17	2 0 0
42.1	2.146	99	1 1 2
45.8	1.979	16	2 0 2
47.0	1.933	14	2 1 0
53.8	1.705	39	3 0 0
55.9	1.644	16	2 1 2
70.5	1.335	19	2 2 2
84.0	1.152	25	3 0 4

***

(4)
Structure and theoretical powder XRD pattern of MgGa2S4 (a cell relaxed with GGA-PBE; Cu Kα X-rays).

Cell: 13.0121 22.8279 6.4569 Å, 90.00 108.46 90.00°
Space group C2/c (No. 15)
Inequivalent atoms, fractional coordinates:
Mg 0.0000 0.0443 0.2500
Mg 0.0000 0.1308 0.7500
Mg 0.0000 0.2195 0.2500
Ga 0.1866 0.2996 0.8544
Ga 0.2128 0.3745 0.3857
Ga 0.2177 0.4596 0.8879
S 0.1038 0.0442 0.9767
S 0.1060 0.1329 0.4782
S 0.1157 0.3035 0.4893
S 0.1280 0.2173 0.9965
S 0.1315 0.3823 0.0047
S 0.1410 0.4593 0.5048

Largest 10 diffraction maxima, by angle, 2θ = 10–90°:
2θ (°)	d_spacing	I_rel	h k l
14.4	6.171	100	2 0 0
22.0	4.049	94	3 1 0
27.6	3.232	78	0 6 1
29.0	3.083	94	2 6 -1
35.3	2.543	48	3 7 -1
43.8	2.066	46	4 6 1
44.6	2.030	42	6 0 -2
47.8	1.902	42	0 12 0
48.3	1.884	63	6 6 -1
48.6	1.873	91	2 6 -3

***

(5)
Structure and theoretical powder XRD pattern of MgScGaS4 (a cell relaxed with GGA-PBE; Cu Kα X-rays).

Cell: 7.3886 7.3982 10.4990 Å, 90.00 90.00 90.00°
Space group Imma (No. 74)
Inequivalent atoms, fractional coordinates:
Mg 0.2500 0.2500 0.2500
Sc 0.0000 0.0000 0.0000
Ga 0.0000 0.2500 0.6329
S 0.0000 0.0090 0.2449
S 0.2449 0.2500 0.0014

Largest 10 diffraction maxima, by angle, 2θ = 10–90°:
2θ (°)	d_spacing	I_rel	h k l
24.0	3.701	55	2 0 0
28.3	3.157	100	1 0 3
29.6	3.022	16	2 0 2
34.2	2.625	11	0 0 4
34.3	2.614	22	2 2 0
42.3	2.139	16	0 2 4
44.9	2.019	13	0 1 5
45.0	2.013	28	3 2 1
49.2	1.852	82	0 4 0
49.3	1.847	17	4 0 0

***

(6)
Structure and theoretical powder XRD pattern of MgGaSnS4 (a cell relaxed with GGA-PBE; Cu Kα X-rays).

Cell: 7.4417 7.6229 10.7166 Å, 90.00 90.00 90.00°
Space group Imma (No. 74)
Inequivalent atoms, fractional coordinates:
Mg 0.0000 0.0000 0.0000
Ga 0.0000 0.2500 0.3797
Sn 0.2500 0.2500 0.7500
S 0.0000 0.0052 0.2448
S 0.2395 0.2500 0.9999

Largest 10 diffraction maxima, by angle, 2θ = 10–90°:
2θ (°)	d_spacing	I_rel	h k l
14.3	6.212	36	0 1 1
16.5	5.358	23	0 0 2
23.3	3.811	37	0 2 0
23.6	3.777	27	1 1 2
27.6	3.235	73	0 1 3
28.0	3.192	100	2 1 1
33.7	2.662	43	2 2 0
43.9	2.060	45	2 3 1
47.7	1.906	23	0 4 0
48.2	1.889	88	2 2 4

***

(7)
Structure and theoretical powder XRD pattern of Mg2V3GaS8 (a cell relaxed with GGA-PBE; Cu Kα X-rays).

Cell: 7.2055 7.2055 18.1405 Å, 90.00 90.00 120.00°
Space group R-3m (No. 166, hexagonal axes)
Inequivalent atoms, fractional coordinates:
Mg 0.0000 0.0000 0.1256
V 0.0000 0.5000 0.0000
Ga 0.0000 0.0000 0.5000
S 0.0000 0.0000 0.2613
S 0.0294 0.5147 0.2549

Largest 10 diffraction maxima, by angle, 2θ = 10–90°:
2θ (°)	d_spacing	I_rel	h k l
15.0	5.901	61	1 0 1
28.5	3.136	21	0 1 5
28.8	3.095	43	1 1 3
34.9	2.570	100	0 2 4
45.9	1.977	23	1 2 5
46.2	1.967	14	0 3 3
49.7	1.834	49	2 0 8
50.7	1.801	47	2 2 0
63.0	1.475	14	4 0 4
73.7	1.285	13	0 4 8

***

(8)
Structure and theoretical powder XRD pattern of MgGaWS4 (a cell relaxed with GGA-PBE; Cu Kα X-rays).

Cell: 6.9043 7.3945 10.8382 Å, 90.00 90.00 90.00°
Space group Imm2 (No. 44)
Inequivalent atoms, fractional coordinates:
Mg 0.0000 0.0000 0.0000
Mg 0.0000 0.5000 0.2500
Ga 0.0000 0.2398 0.5990
W 0.2010 0.5000 0.8630
S 0.0000 0.2176 0.3731
S 0.0000 0.2398 0.8395
S 0.2312 0.5000 0.6426
S 0.2448 0.5000 0.0840

Largest 10 diffraction maxima, by angle, 2θ = 10–90°:
2θ (°)	d_spacing	I_rel	h k l
14.5	6.108	100	0 1 1
15.2	5.823	18	1 0 1
16.4	5.419	14	0 0 2
24.1	3.696	15	0 2 0
27.5	3.246	19	0 1 3
28.6	3.121	16	1 2 1
29.7	3.005	34	2 1 1
33.1	2.710	24	0 0 4
35.6	2.523	36	2 2 0
49.3	1.847	43	0 4 0